Simulated powder XRD pattern of RbMnPO4 for Cu Ka, from the GGA+U geometry in Alexandria.
Intensities are scaled so that the largest is 100.

Top 8 peaks for 2θ = 10–80°, sorted by position:
hkl	Position (°2θ)	I/Imax
1 1 -2	26.75	54
1 1 2	26.88	56
2 1 -1	27.05	80
2 1 1	27.18	100
2 0 2	27.44	31
0 2 0	32.47	54
0 1 3	32.95	47
3 1 4	52.24	26

Cell and atoms:
```
data_RbMnPO4
_cell_length_a 9.1085
_cell_length_b 5.5156
_cell_length_c 9.3716
_cell_angle_alpha 90.00
_cell_angle_beta 90.55
_cell_angle_gamma 90.00
_symmetry_space_group_name_H-M 'P 1 21 1'
_symmetry_Int_Tables_number 4
_symmetry_space_group_name_Hall 'P 2yb'
loop_
_atom_site_label
_atom_site_type_symbol
_atom_site_fract_x
_atom_site_fract_y
_atom_site_fract_z
Rb1 Rb 0.0070 0.0000 0.1998
Rb2 Rb 0.4870 0.4688 0.6885
Mn1 Mn 0.1605 0.0204 0.5658
Mn2 Mn 0.3261 0.4643 0.0899
P1 P 0.2063 0.4769 0.4224
P2 P 0.2990 0.9666 0.8982
O1 O 0.0535 0.3910 0.4815
O2 O 0.1909 0.0665 0.7832
O3 O 0.1911 0.5348 0.2608
O4 O 0.2645 0.7014 0.5041
O5 O 0.2658 0.6924 0.9245
O6 O 0.2763 0.1079 0.0405
O7 O 0.3084 0.2556 0.4517
O8 O 0.4592 0.9982 0.8454
```